Computed PXRD pattern of MnGe2WO8 for Cu Kα, 1.54184 Å, from the GGA+U geometry in Alexandria.
Intensities are scaled so that the largest is 100.

Top 8 peaks for 5 to 70 degrees two-theta, sorted by position:
2theta	I/Imax
18.85	24.1
19.52	34.5
26.78	100.0
34.54	76.0
38.24	20.0
52.47	62.7
55.19	16.1
66.76	18.5

Atomic structure:
a = 5.644 Å, b = 5.644 Å, c = 5.644 Å
α = 107.72°, β = 107.72°, γ = 113.04°
Atoms (fractional coordinates):
Mn1 0.000 0.000 0.000
Ge1 0.250 0.750 0.500
Ge2 0.500 0.500 0.000
W1 0.750 0.250 0.500
O1 0.040 0.360 0.320
O2 0.040 0.721 0.680
O3 0.115 0.318 0.797
O4 0.279 0.960 0.320
O5 0.520 0.318 0.203
O6 0.640 0.960 0.680
O7 0.682 0.480 0.797
O8 0.682 0.885 0.203